Entry 1:
This entry pairs a crystal structure of BaHoZr with its theoretical X-ray diffraction stick pattern. Radiation: CuKα. Structure: a cell relaxed with PBE.
Peak positions follow from Bragg's law for the DFT cell and can differ from measured ones.

Cell and atoms:
```
12
Lattice="7.8460 0.0000 0.0000 0.0000 7.8460 0.0000 0.0000 0.0000 7.8460" Properties=species:S:1:pos:R:3 pbc="T T T"
Ba 0.0000 0.0000 0.0000
Ba 0.0000 3.9230 3.9230
Ba 3.9230 0.0000 3.9230
Ba 3.9230 3.9230 0.0000
Ho 0.0000 0.0000 3.9230
Ho 0.0000 3.9230 0.0000
Ho 3.9230 0.0000 0.0000
Ho 3.9230 3.9230 3.9230
Zr 1.9615 1.9615 1.9615
Zr 1.9615 5.8845 5.8845
Zr 5.8845 1.9615 5.8845
Zr 5.8845 5.8845 1.9615
```

Most intense lines, 2θ from 10° to 90°, most intense first:
32.3°, intensity 100; 57.5°, intensity 38; 22.7°, intensity 32; 46.3°, intensity 18; 76.8°, intensity 16; 19.6°, intensity 15; 52.1°, intensity 14; 67.5°, intensity 12

=====

Entry 2:
This entry pairs a crystal structure of Tb6In23Pt12 with its theoretical X-ray diffraction stick pattern. Radiation: CuKα. Structure: a cell relaxed with PBE.
Peak positions follow from Bragg's law for the DFT cell and can differ from measured ones.

Cell and atoms:
```
41
Lattice="14.3133 -2.2175 0.0000 14.3133 2.2175 0.0000 -5.6788 0.0000 13.8090" Properties=species:S:1:pos:R:3 pbc="T T T"
Tb 0.1928 0.0000 2.7284
Tb 6.8213 0.0000 5.8298
Tb 4.0574 0.0000 13.3684
Tb 18.8904 0.0000 0.4406
Tb 16.1265 0.0000 7.9792
Tb 22.7550 0.0000 11.0806
In -3.0005 0.0000 9.3249
In 2.1304 0.0000 0.0852
In 0.0889 0.0000 6.2100
In 3.7232 0.0000 3.0083
In 0.8006 0.0000 12.9062
In 2.2778 0.0000 10.2722
In 4.1834 0.0000 8.0608
In 8.8816 0.0000 3.0393
In 6.9736 0.0000 9.2629
In 10.2142 0.0000 6.0595
In 12.0769 0.0000 2.2939
In 14.3133 0.0000 0.0000
In 10.8709 0.0000 11.5151
In 12.7336 0.0000 7.7496
In 15.9742 0.0000 4.5461
In 14.0662 0.0000 10.7698
In 18.7643 0.0000 5.7482
In 20.6700 0.0000 3.5368
In 22.1471 0.0000 0.9029
In 19.2246 0.0000 10.8007
In 22.8589 0.0000 7.5990
In 20.8173 0.0000 13.7238
In 25.9482 0.0000 4.4841
Pt -1.7457 0.0000 11.8689
Pt -0.2695 0.0000 8.9561
Pt 2.8099 0.0000 5.6715
Pt 6.2797 0.0000 1.8720
Pt 6.5408 0.0000 11.9511
Pt 9.7279 0.0000 8.8730
Pt 13.2199 0.0000 4.9361
Pt 16.4070 0.0000 1.8580
Pt 16.6681 0.0000 11.9370
Pt 20.1379 0.0000 8.1375
Pt 23.2172 0.0000 4.8530
Pt 24.6935 0.0000 1.9402
```

Most intense lines, 2θ from 10° to 90°, most intense first:
40.7°, intensity 100; 34.3°, intensity 74; 34.7°, intensity 68; 40.9°, intensity 52; 33.6°, intensity 48; 32.1°, intensity 48; 36.3°, intensity 41; 34.1°, intensity 37

=====

Entry 3:
This entry pairs a crystal structure of BaTm2ZnO5 with its theoretical X-ray diffraction stick pattern. Radiation: CuKα. Structure: a cell relaxed with PBE.
Peak positions follow from Bragg's law for the DFT cell and can differ from measured ones.

Cell and atoms:
```
36
Lattice="12.1891 0.0000 0.0000 0.0000 5.6558 0.0000 0.0000 0.0000 6.9885" Properties=species:S:1:pos:R:3 pbc="T T T"
Ba 1.2266 1.4139 0.5592
Ba 4.8680 4.2418 4.0535
Ba 7.3212 1.4139 2.9351
Ba 10.9625 4.2418 6.4293
Tm 0.9078 4.2418 2.8100
Tm 2.5335 1.4139 4.3494
Tm 3.5611 4.2418 0.8551
Tm 5.1867 1.4139 6.3043
Tm 7.0024 4.2418 0.6842
Tm 8.6280 1.4139 6.1334
Tm 9.6557 4.2418 2.6391
Tm 11.2813 1.4139 4.1785
Zn 1.8438 4.2418 5.6595
Zn 4.2508 1.4139 2.1652
Zn 7.9383 4.2418 4.8233
Zn 10.3454 1.4139 1.3291
O 0.7949 0.0000 4.6427
O 0.7949 2.8279 4.6427
O 1.2424 4.2418 0.5668
O 2.7343 2.8339 2.5413
O 2.7343 5.6497 2.5413
O 3.3603 0.0060 6.0356
O 3.3603 2.8219 6.0356
O 4.8522 1.4139 4.0611
O 5.2997 0.0000 1.1485
O 5.2997 2.8279 1.1485
O 6.8894 0.0000 5.8401
O 6.8894 2.8279 5.8401
O 7.3370 4.2418 2.9274
O 8.8288 2.8339 0.9530
O 8.8288 5.6497 0.9530
O 9.4549 0.0060 4.4472
O 9.4549 2.8219 4.4472
O 10.9467 1.4139 6.4217
O 11.3943 0.0000 2.3458
O 11.3943 2.8279 2.3458
```

Most intense lines, 2θ from 10° to 90°, most intense first:
29.9°, intensity 100; 31.0°, intensity 83; 31.6°, intensity 55; 45.7°, intensity 33; 32.0°, intensity 24; 55.3°, intensity 18; 59.7°, intensity 17; 37.5°, intensity 17

=====

Entry 4:
This entry pairs a crystal structure of Li2ScOsO6 with its theoretical X-ray diffraction stick pattern. Radiation: CuKα. Structure: a cell relaxed with PBE.
Peak positions follow from Bragg's law for the DFT cell and can differ from measured ones.

Cell and atoms:
```
10
Lattice="-2.6554 2.6554 3.8888 2.6554 -2.6554 3.8888 2.6554 2.6554 -3.8888" Properties=species:S:1:pos:R:3 pbc="T T T"
Li 2.6554 0.0000 1.9444
Li 0.0000 2.6554 1.9444
Sc 0.0000 0.0000 0.0000
Os 0.0000 0.0000 3.8888
O 3.4839 0.9586 0.0000
O 0.0000 0.0000 2.0213
O 0.9586 1.8269 0.0000
O 1.6968 0.8285 3.8888
O 0.0000 0.0000 5.7563
O -0.8285 1.6968 3.8888
```

Most intense lines, 2θ from 10° to 90°, most intense first:
20.2°, intensity 100; 23.7°, intensity 94; 22.9°, intensity 59; 33.2°, intensity 51; 33.8°, intensity 38; 39.7°, intensity 36; 60.0°, intensity 29; 53.0°, intensity 28

=====

Entry 5:
This entry pairs a crystal structure of Cu7Ag3 with its theoretical X-ray diffraction stick pattern. Radiation: CuKα. Structure: a cell relaxed with PBE.
Peak positions follow from Bragg's law for the DFT cell and can differ from measured ones.

Cell and atoms:
```
10
Lattice="2.7266 0.0000 0.0000 0.0000 3.6869 0.0000 0.0000 0.0000 13.6207" Properties=species:S:1:pos:R:3 pbc="T T T"
Cu 0.0000 0.0000 0.0000
Cu 0.0000 0.0000 2.4789
Cu 0.0000 0.0000 5.3708
Cu 0.0000 0.0000 8.2499
Cu 0.0000 0.0000 11.1418
Cu 1.3633 1.8435 1.2436
Cu 1.3633 1.8435 12.3771
Ag 1.3633 1.8435 3.9297
Ag 1.3633 1.8435 6.8104
Ag 1.3633 1.8435 9.6911
```

Most intense lines, 2θ from 10° to 90°, most intense first:
41.2°, intensity 100; 47.2°, intensity 31; 83.5°, intensity 18; 70.7°, intensity 17; 49.4°, intensity 16; 87.0°, intensity 10; 68.9°, intensity 8; 89.4°, intensity 8

=====

Entry 6:
This entry pairs a crystal structure of Pr2Er2CI5 with its theoretical X-ray diffraction stick pattern. Radiation: CuKα. Structure: a cell relaxed with PBE.
Peak positions follow from Bragg's law for the DFT cell and can differ from measured ones.

Cell and atoms:
```
10
Lattice="9.4949 -1.9992 0.0000 9.4949 1.9992 0.0000 -1.9805 0.0000 8.5120" Properties=species:S:1:pos:R:3 pbc="T T T"
Pr 2.4748 0.0000 0.5871
Pr 14.5345 0.0000 7.9249
Er 9.1182 0.0000 1.5747
Er 7.8912 0.0000 6.9373
C 0.0000 0.0000 0.0000
I -0.9903 0.0000 4.2560
I 5.9725 0.0000 1.6626
I 5.1709 0.0000 5.4903
I 11.8384 0.0000 3.0218
I 11.0368 0.0000 6.8494
```

Most intense lines, 2θ from 10° to 90°, most intense first:
30.3°, intensity 100; 29.0°, intensity 53; 42.4°, intensity 30; 33.0°, intensity 29; 42.5°, intensity 29; 29.8°, intensity 28; 27.3°, intensity 24; 35.1°, intensity 22

=====

Number 4 is which compound?
Li2ScOsO6

=====

What did the fifth record say?
This entry pairs a crystal structure of Cu7Ag3 with its theoretical X-ray diffraction stick pattern. Radiation: CuKα. Structure: a cell relaxed with PBE.
Peak positions follow from Bragg's law for the DFT cell and can differ from measured ones.

Cell and atoms:
```
10
Lattice="2.7266 0.0000 0.0000 0.0000 3.6869 0.0000 0.0000 0.0000 13.6207" Properties=species:S:1:pos:R:3 pbc="T T T"
Cu 0.0000 0.0000 0.0000
Cu 0.0000 0.0000 2.4789
Cu 0.0000 0.0000 5.3708
Cu 0.0000 0.0000 8.2499
Cu 0.0000 0.0000 11.1418
Cu 1.3633 1.8435 1.2436
Cu 1.3633 1.8435 12.3771
Ag 1.3633 1.8435 3.9297
Ag 1.3633 1.8435 6.8104
Ag 1.3633 1.8435 9.6911
```

Most intense lines, 2θ from 10° to 90°, most intense first:
41.2°, intensity 100; 47.2°, intensity 31; 83.5°, intensity 18; 70.7°, intensity 17; 49.4°, intensity 16; 87.0°, intensity 10; 68.9°, intensity 8; 89.4°, intensity 8

=====

Copy entry 5 word for word.
This entry pairs a crystal structure of Cu7Ag3 with its theoretical X-ray diffraction stick pattern. Radiation: CuKα. Structure: a cell relaxed with PBE.
Peak positions follow from Bragg's law for the DFT cell and can differ from measured ones.

Cell and atoms:
```
10
Lattice="2.7266 0.0000 0.0000 0.0000 3.6869 0.0000 0.0000 0.0000 13.6207" Properties=species:S:1:pos:R:3 pbc="T T T"
Cu 0.0000 0.0000 0.0000
Cu 0.0000 0.0000 2.4789
Cu 0.0000 0.0000 5.3708
Cu 0.0000 0.0000 8.2499
Cu 0.0000 0.0000 11.1418
Cu 1.3633 1.8435 1.2436
Cu 1.3633 1.8435 12.3771
Ag 1.3633 1.8435 3.9297
Ag 1.3633 1.8435 6.8104
Ag 1.3633 1.8435 9.6911
```

Most intense lines, 2θ from 10° to 90°, most intense first:
41.2°, intensity 100; 47.2°, intensity 31; 83.5°, intensity 18; 70.7°, intensity 17; 49.4°, intensity 16; 87.0°, intensity 10; 68.9°, intensity 8; 89.4°, intensity 8